(1)
Starting from a cell relaxed with PBE, the XRD peak list of Np4S5N was computed for Cu Kα.

Top 8 peaks for 10 to 90 degrees two-theta, sorted by position:
- d 8.072, intensity 31
- d 7.132, intensity 76
- d 3.125, intensity 71
- d 3.108, intensity 33
- d 2.691, intensity 53
- d 2.661, intensity 100
- d 1.921, intensity 59
- d 1.863, intensity 35

Crystal structure
abc: 8.583 8.583 7.392
angles: 104.84 104.84 25.84
Atoms (fractional coordinates):
Np1 0.002 0.002 0.270
Np2 0.338 0.338 0.401
Np3 0.662 0.662 0.599
Np4 0.998 0.998 0.730
S1 0.161 0.161 0.841
S2 0.170 0.170 0.346
S3 0.500 0.500 0.000
S4 0.830 0.830 0.654
S5 0.839 0.839 0.159
N1 0.500 0.500 0.500

---

(2)
Starting from a cell relaxed with PBE, the XRD peak list of Zr2Al7Au12 was computed for Cu Kα.

Top 8 peaks for 10 to 90 degrees two-theta, sorted by position:
- d 3.686, intensity 31
- d 2.517, intensity 100
- d 2.237, intensity 9
- d 2.128, intensity 41
- d 1.625, intensity 18
- d 1.561, intensity 9
- d 1.339, intensity 16
- d 1.292, intensity 18

Crystal structure
abc: 11.260 11.260 3.446
angles: 90.00 90.00 120.00
Atoms (fractional coordinates):
Zr1 0.333 0.667 0.250
Zr2 0.667 0.333 0.750
Al1 0.000 0.000 0.500
Al2 0.120 0.711 0.747
Al3 0.289 0.410 0.747
Al4 0.410 0.120 0.253
Al5 0.590 0.880 0.747
Al6 0.711 0.590 0.253
Al7 0.880 0.289 0.253
Au1 0.094 0.252 0.247
Au2 0.096 0.476 0.755
Au3 0.158 0.906 0.247
Au4 0.252 0.158 0.753
Au5 0.379 0.904 0.755
Au6 0.476 0.379 0.245
Au7 0.524 0.621 0.755
Au8 0.621 0.096 0.245
Au9 0.748 0.842 0.247
Au10 0.842 0.094 0.753
Au11 0.904 0.524 0.245
Au12 0.906 0.748 0.753

---

(3)
Starting from a cell relaxed with PBE, the XRD peak list of Ti2Al2Ni7Pt was computed for Cu Kα.

Top 8 peaks for 10 to 90 degrees two-theta, sorted by position:
- d 5.604, intensity 27
- d 3.111, intensity 23
- d 2.370, intensity 37
- d 2.175, intensity 100
- d 2.143, intensity 44
- d 1.912, intensity 30
- d 1.869, intensity 60
- d 1.845, intensity 41

Crystal structure
abc: 3.741 3.741 11.208
angles: 90.00 90.00 91.29
Atoms (fractional coordinates):
Ti1 0.000 0.000 0.168
Ti2 0.000 0.000 0.832
Al1 0.500 0.500 0.203
Al2 0.500 0.500 0.797
Ni1 0.000 0.000 0.500
Ni2 0.000 0.500 0.338
Ni3 0.000 0.500 0.662
Ni4 0.284 0.716 0.000
Ni5 0.500 0.000 0.338
Ni6 0.500 0.000 0.662
Ni7 0.716 0.284 0.000
Pt1 0.500 0.500 0.500

---

(4)
Starting from a cell relaxed with PBE, the XRD peak list of Zn3Pd was computed for Cu Kα.

Top 8 peaks for 10 to 90 degrees two-theta, sorted by position:
- d 2.232, intensity 100
- d 1.933, intensity 48
- d 1.367, intensity 24
- d 1.364, intensity 5
- d 1.166, intensity 23
- d 1.164, intensity 11
- d 1.117, intensity 5
- d 1.115, intensity 5

Crystal structure
abc: 8.203 8.200 3.865
angles: 76.41 76.33 27.26
Atoms (fractional coordinates):
Zn1 0.000 0.000 0.500
Zn2 0.125 0.125 0.875
Zn3 0.250 0.250 0.250
Zn4 0.500 0.500 0.000
Zn5 0.750 0.750 0.750
Zn6 0.875 0.875 0.125
Pd1 0.376 0.376 0.624
Pd2 0.624 0.624 0.376